This entry pairs a crystal structure of Tb2Ce2Bi5 with its calculated powder XRD pattern. Radiation: Cu Kα (weighted mean of Kα1 and Kα2). Structure: a GGA-PBE-relaxed structure.

Cell and atoms:
```
data_Tb2Ce2Bi5
_symmetry_space_group_name_H-M 'C m c e'
_symmetry_Int_Tables_number 64
_symmetry_space_group_name_Hall '-C 2ac 2'
_cell_length_a 15.9718
_cell_length_b 8.4264
_cell_length_c 8.4741
_cell_angle_alpha 90.00
_cell_angle_beta 90.00
_cell_angle_gamma 90.00
loop_
_atom_site_label
_atom_site_type_symbol
_atom_site_fract_x
_atom_site_fract_y
_atom_site_fract_z
_atom_site_occupancy
Tb1 Tb 0.0000 0.1516 0.1545 1
Ce1 Ce 0.1926 0.0000 0.5000 1
Bi1 Bi 0.0000 0.0000 0.5000 1
Bi2 Bi 0.1390 0.1542 0.8477 1
```

Principal peaks in the range 2θ from 5° to 70°, in order of rising 2θ:
- 3.773 Å, rel. 19
- 3.411 Å, rel. 26
- 3.085 Å, rel. 100
- 2.988 Å, rel. 28
- 2.902 Å, rel. 22
- 2.817 Å, rel. 27
- 2.742 Å, rel. 81
- 2.662 Å, rel. 32
- 2.641 Å, rel. 63
- 2.630 Å, rel. 62
- 1.501 Å, rel. 37
- 1.494 Å, rel. 19

---

This entry pairs a crystal structure of Ta3B4W3 with its calculated powder XRD pattern. Radiation: Cu Kα (weighted mean of Kα1 and Kα2). Structure: a GGA-PBE-relaxed structure.

Cell and atoms:
```
data_Ta3B4W3
_symmetry_space_group_name_H-M 'A m m 2'
_symmetry_Int_Tables_number 38
_symmetry_space_group_name_Hall 'A 2 -2'
_cell_length_a 3.2762
_cell_length_b 8.6486
_cell_length_c 8.5957
_cell_angle_alpha 90.00
_cell_angle_beta 90.00
_cell_angle_gamma 90.00
loop_
_atom_site_label
_atom_site_type_symbol
_atom_site_fract_x
_atom_site_fract_y
_atom_site_fract_z
_atom_site_occupancy
Ta1 Ta 0.0000 0.0000 0.0000 1
Ta2 Ta 0.0000 0.1764 0.6741 1
B1 B 0.5000 0.0000 0.5603 1
B2 B 0.5000 0.0000 0.7869 1
B3 B 0.5000 0.1106 0.1764 1
W1 W 0.0000 0.0000 0.3496 1
W2 W 0.5000 0.2489 0.4238 1
```

Principal peaks in the range 2θ from 5° to 70°, in order of rising 2θ:
- 2.733 Å, rel. 34
- 2.720 Å, rel. 34
- 2.608 Å, rel. 59
- 2.232 Å, rel. 100
- 2.162 Å, rel. 14
- 2.149 Å, rel. 13
- 2.099 Å, rel. 38
- 2.093 Å, rel. 38
- 1.931 Å, rel. 24
- 1.924 Å, rel. 25
- 1.638 Å, rel. 19
- 1.404 Å, rel. 18

---

This entry pairs a crystal structure of NpTi2Cd with its calculated powder XRD pattern. Radiation: Cu Kα (weighted mean of Kα1 and Kα2). Structure: a GGA-PBE-relaxed structure.

Cell and atoms:
```
data_NpTi2Cd
_symmetry_space_group_name_H-M 'P 4/m m m'
_symmetry_Int_Tables_number 123
_symmetry_space_group_name_Hall '-P 4 2'
_cell_length_a 3.3238
_cell_length_b 3.3238
_cell_length_c 6.8181
_cell_angle_alpha 90.00
_cell_angle_beta 90.00
_cell_angle_gamma 90.00
loop_
_atom_site_label
_atom_site_type_symbol
_atom_site_fract_x
_atom_site_fract_y
_atom_site_fract_z
_atom_site_occupancy
Np1 Np 0.0000 0.0000 0.0000 1
Ti1 Ti 0.5000 0.5000 0.2245 1
Cd1 Cd 0.0000 0.0000 0.5000 1
```

Principal peaks in the range 2θ from 5° to 70°, in order of rising 2θ:
- 6.818 Å, rel. 28
- 3.409 Å, rel. 22
- 3.324 Å, rel. 40
- 2.988 Å, rel. 10
- 2.380 Å, rel. 100
- 2.350 Å, rel. 49
- 1.935 Å, rel. 19
- 1.662 Å, rel. 17
- 1.517 Å, rel. 10
- 1.494 Å, rel. 9
- 1.380 Å, rel. 16
- 1.363 Å, rel. 34

---

This entry pairs a crystal structure of HRh3Pb with its calculated powder XRD pattern. Radiation: Cu Kα (weighted mean of Kα1 and Kα2). Structure: a GGA-PBE-relaxed structure.

Cell and atoms:
Cell lengths 10.6031, 10.6031, 10.6031 Å; angles 90.00, 90.00, 90.00 degrees
Space group Fd-3m (No. 227, origin choice 2)
Inequivalent atoms, fractional coordinates:
H  0.0000  0.0000  0.0000
Rh  0.0587  0.3750  0.3750
Pb  0.0000  0.0000  0.5000

Principal peaks in the range 2θ from 5° to 70°, in order of rising 2θ:
- 3.749 Å, rel. 5
- 3.197 Å, rel. 37
- 3.061 Å, rel. 58
- 2.433 Å, rel. 100
- 2.164 Å, rel. 36
- 2.041 Å, rel. 73
- 1.874 Å, rel. 43
- 1.792 Å, rel. 11
- 1.676 Å, rel. 10
- 1.598 Å, rel. 26
- 1.530 Å, rel. 10
- 1.380 Å, rel. 12

---

This entry pairs a crystal structure of GaAsPd14 with its calculated powder XRD pattern. Radiation: Cu Kα (weighted mean of Kα1 and Kα2). Structure: a GGA-PBE-relaxed structure.

Cell and atoms:
```
data_GaAsPd14
_symmetry_space_group_name_H-M 'A m m 2'
_symmetry_Int_Tables_number 38
_symmetry_space_group_name_Hall 'A 2 -2'
_cell_length_a 9.0096
_cell_length_b 5.8257
_cell_length_c 9.3870
_cell_angle_alpha 90.00
_cell_angle_beta 90.00
_cell_angle_gamma 90.00
loop_
_atom_site_label
_atom_site_type_symbol
_atom_site_fract_x
_atom_site_fract_y
_atom_site_fract_z
_atom_site_occupancy
Ga1 Ga 0.0000 0.0000 0.0000 1
As1 As 0.0000 0.0000 0.4904 1
Pd1 Pd 0.0000 0.2482 0.2615 1
Pd2 Pd 0.2301 0.2458 0.5495 1
Pd3 Pd 0.2534 0.0000 0.8035 1
Pd4 Pd 0.2564 0.0000 0.2967 1
Pd5 Pd 0.5000 0.0000 0.1113 1
Pd6 Pd 0.5000 0.0000 0.6165 1
Pd7 Pd 0.5000 0.2481 0.3676 1
```

Principal peaks in the range 2θ from 5° to 70°, in order of rising 2θ:
- 2.387 Å, rel. 17
- 2.347 Å, rel. 15
- 2.271 Å, rel. 17
- 2.252 Å, rel. 34
- 2.169 Å, rel. 100
- 2.081 Å, rel. 11
- 1.910 Å, rel. 9
- 1.849 Å, rel. 8
- 1.625 Å, rel. 8
- 1.457 Å, rel. 13
- 1.378 Å, rel. 8
- 1.362 Å, rel. 4

---

This entry pairs a crystal structure of Li2Cu3Pd4 with its calculated powder XRD pattern. Radiation: Cu Kα (weighted mean of Kα1 and Kα2). Structure: a GGA-PBE-relaxed structure.

Cell and atoms:
```
data_Li2Cu3Pd4
_symmetry_space_group_name_H-M 'C 1 2/m 1'
_symmetry_Int_Tables_number 12
_symmetry_space_group_name_Hall '-C 2y'
_cell_length_a 7.3224
_cell_length_b 4.2105
_cell_length_c 7.8477
_cell_angle_alpha 90.00
_cell_angle_beta 90.34
_cell_angle_gamma 90.00
loop_
_atom_site_label
_atom_site_type_symbol
_atom_site_fract_x
_atom_site_fract_y
_atom_site_fract_z
_atom_site_occupancy
Li1 Li 0.1669 0.0000 0.2132 1
Cu1 Cu 0.0000 0.5000 0.0000 1
Cu2 Cu 0.1664 0.0000 0.5389 1
Pd1 Pd 0.0006 0.5000 0.3298 1
Pd2 Pd 0.1666 0.0000 0.8830 1
```

Principal peaks in the range 2θ from 5° to 70°, in order of rising 2θ:
- 3.654 Å, rel. 17
- 3.321 Å, rel. 24
- 3.306 Å, rel. 36
- 2.685 Å, rel. 14
- 2.669 Å, rel. 27
- 2.129 Å, rel. 100
- 2.123 Å, rel. 56
- 2.112 Å, rel. 100
- 2.105 Å, rel. 50
- 1.656 Å, rel. 10
- 1.504 Å, rel. 16
- 1.495 Å, rel. 32